The following is a simulated X-ray diffraction stick pattern of Ac2PmPr3Te6. It was derived from a crystal structure in Alexandria, relaxed with PBE, using Cu Ka.
Intensities are scaled so that the largest is 100.

Cell and atoms:
```
data_Ac2PmPr3Te6
_cell_length_a 7.954
_cell_length_b 7.954
_cell_length_c 7.968
_cell_angle_alpha 99.60
_cell_angle_beta 99.60
_cell_angle_gamma 120.33
_symmetry_space_group_name_H-M 'P 1'
_symmetry_Int_Tables_number 1
loop_
_symmetry_equiv_pos_as_xyz
'x,y,z'
loop_
_atom_site_label
_atom_site_fract_x
_atom_site_fract_y
_atom_site_fract_z
_atom_site_occupancy
Ac1 0.165 0.835 0.000 1
Ac2 0.835 0.165 0.000 1
Pm1 0.500 0.500 0.000 1
Pr1 0.000 0.000 0.500 1
Pr2 0.326 0.674 0.500 1
Pr3 0.674 0.326 0.500 1
Te1 0.093 0.416 0.747 1
Te2 0.265 0.265 0.262 1
Te3 0.416 0.093 0.747 1
Te4 0.584 0.907 0.253 1
Te5 0.735 0.735 0.738 1
Te6 0.907 0.584 0.253 1
```

The 12 most intense peaks (15° ≤ 2θ ≤ 90°), in order of rising 2θ:
2θ/deg  I_rel
27.49  100
39.17  39
39.37  38
48.51  21
48.86  7
56.74  13
64.04  18
64.32  12
64.34  6
70.97  7
71.11  13
71.52  6